Record 1
# Cr4O3F9
Simulated X-ray diffraction stick pattern, a wavelength of 1.5418 Å. Input: a crystal structure in Alexandria, relaxed with PBE+U.

Main lines, sorted by position (2θ = 5–70°):
2θ/deg  d (Å)  I_rel
23.99  3.709  95
24.34  3.657  92
24.56  3.624  100
33.78  2.653  36
49.12  1.855  18
54.61  1.681  25

Structure:
```
data_Cr4O3F9
_chemical_formula_sum 'Cr4 O3 F9'
_space_group_name_H-M_alt 'P 1'
_space_group_IT_number 1
_cell_length_a 5.0405
_cell_length_b 5.3103
_cell_length_c 8.8536
_cell_angle_alpha 72.83
_cell_angle_beta 89.58
_cell_angle_gamma 61.83
loop_
_space_group_symop_operation_xyz
'x,y,z'
loop_
_atom_site_label
_atom_site_type_symbol
_atom_site_fract_x
_atom_site_fract_y
_atom_site_fract_z
_atom_site_occupancy
Cr1 Cr 0.0000 0.0000 0.0000 1
Cr2 Cr 0.2256 0.4993 0.7457 1
Cr3 Cr 0.5277 0.9815 0.5082 1
Cr4 Cr 0.7670 0.5028 0.2495 1
O1 O 0.0782 0.2379 0.8429 1
O2 O 0.9309 0.7606 0.1569 1
O3 O 0.9469 0.7286 0.5682 1
F1 F 0.0082 0.2304 0.1331 1
F2 F 0.0816 0.2461 0.4355 1
F3 F 0.4372 0.7365 0.6878 1
F4 F 0.4389 0.7372 0.0658 1
F5 F 0.4990 0.2361 0.6337 1
F6 F 0.5206 0.7483 0.3750 1
F7 F 0.5664 0.2615 0.9327 1
F8 F 0.5786 0.2490 0.3216 1
F9 F 0.9959 0.7656 0.8667 1
```

Record 2
# Cr4OF11
Simulated X-ray diffraction stick pattern, a wavelength of 1.5418 Å. Input: a crystal structure in Alexandria, relaxed with PBE+U.

Main lines, sorted by position (2θ = 5–70°):
2θ/deg  d (Å)  I_rel
24.12  3.690  100
24.50  3.634  49
33.72  2.658  22
40.80  2.212  24
49.40  1.845  18
54.62  1.680  14

Structure:
```
data_Cr4OF11
_chemical_formula_sum 'Cr4 O1 F11'
_space_group_name_H-M_alt 'P 1'
_space_group_IT_number 1
_cell_length_a 5.3683
_cell_length_b 5.0931
_cell_length_c 7.2881
_cell_angle_alpha 90.00
_cell_angle_beta 94.28
_cell_angle_gamma 90.00
loop_
_space_group_symop_operation_xyz
'x,y,z'
loop_
_atom_site_label
_atom_site_type_symbol
_atom_site_fract_x
_atom_site_fract_y
_atom_site_fract_z
_atom_site_occupancy
Cr1 Cr 0.0002 0.0000 0.2389 1
Cr2 Cr 0.9998 0.0000 0.7611 1
Cr3 Cr 0.4995 0.4962 0.7499 1
Cr4 Cr 0.5005 0.4962 0.2501 1
O1 O 0.0000 0.1205 0.0000 1
F1 F 0.0000 0.8888 0.5000 1
F2 F 0.1893 0.6856 0.1883 1
F3 F 0.1907 0.3060 0.6898 1
F4 F 0.3097 0.1867 0.3111 1
F5 F 0.3099 0.8059 0.8134 1
F6 F 0.5000 0.3656 0.0000 1
F7 F 0.5000 0.6242 0.5000 1
F8 F 0.6903 0.1867 0.6889 1
F9 F 0.6901 0.8059 0.1866 1
F10 F 0.8093 0.3060 0.3102 1
F11 F 0.8107 0.6856 0.8117 1
```

Record 3
# Cr4OF11
Simulated X-ray diffraction stick pattern, a wavelength of 1.5418 Å. Input: a crystal structure in Alexandria, relaxed with PBE+U.

Main lines, sorted by position (2θ = 5–70°):
2θ/deg  d (Å)  I_rel
24.12  3.689  100
24.46  3.639  49
33.72  2.658  21
40.80  2.212  24
49.41  1.845  18
54.64  1.680  14

Structure:
```
data_Cr4OF11
_chemical_formula_sum 'Cr4 O1 F11'
_space_group_name_H-M_alt 'P 1'
_space_group_IT_number 1
_cell_length_a 5.3309
_cell_length_b 5.3309
_cell_length_c 8.7391
_cell_angle_alpha 105.22
_cell_angle_beta 105.22
_cell_angle_gamma 57.06
loop_
_space_group_symop_operation_xyz
'x,y,z'
loop_
_atom_site_label
_atom_site_type_symbol
_atom_site_fract_x
_atom_site_fract_y
_atom_site_fract_z
_atom_site_occupancy
Cr1 Cr 0.1181 0.1181 0.3825 1
Cr2 Cr 0.3770 0.3697 0.1266 1
Cr3 Cr 0.6303 0.6230 0.8734 1
Cr4 Cr 0.8819 0.8819 0.6175 1
O1 O 0.8755 0.1245 0.5000 1
F1 F 0.3119 0.6848 0.3131 1
F2 F 0.3152 0.6881 0.6869 1
F3 F 0.3680 0.1251 0.2528 1
F4 F 0.3833 0.6167 0.0000 1
F5 F 0.4430 0.0582 0.9398 1
F6 F 0.4437 0.0544 0.5608 1
F7 F 0.8134 0.1851 0.1918 1
F8 F 0.8149 0.1866 0.8082 1
F9 F 0.8749 0.6320 0.7472 1
F10 F 0.9418 0.5570 0.0602 1
F11 F 0.9456 0.5563 0.4392 1
```

Record 4
# Cr4OF11
Simulated X-ray diffraction stick pattern, a wavelength of 1.5418 Å. Input: a crystal structure in Alexandria, relaxed with PBE+U.

Main lines, sorted by position (2θ = 5–70°):
2θ/deg  d (Å)  I_rel
24.12  3.689  100
24.49  3.634  49
33.72  2.658  22
40.81  2.211  24
49.41  1.845  18
54.63  1.680  14

Structure:
```
data_Cr4OF11
_chemical_formula_sum 'Cr4 O1 F11'
_space_group_name_H-M_alt 'P 1'
_space_group_IT_number 1
_cell_length_a 5.0509
_cell_length_b 5.3315
_cell_length_c 7.3981
_cell_angle_alpha 85.74
_cell_angle_beta 89.98
_cell_angle_gamma 89.14
loop_
_space_group_symop_operation_xyz
'x,y,z'
loop_
_atom_site_label
_atom_site_type_symbol
_atom_site_fract_x
_atom_site_fract_y
_atom_site_fract_z
_atom_site_occupancy
Cr1 Cr 0.0000 0.0000 0.0000 1
Cr2 Cr 0.0086 0.9878 0.5020 1
Cr3 Cr 0.5083 0.4876 0.5020 1
Cr4 Cr 0.5225 0.4775 0.0004 1
O1 O 0.8199 0.2975 0.9392 1
F1 F 0.1299 0.9876 0.7516 1
F2 F 0.1943 0.3015 0.4426 1
F3 F 0.2056 0.6829 0.0562 1
F4 F 0.3183 0.1774 0.0637 1
F5 F 0.3237 0.8027 0.4380 1
F6 F 0.3888 0.4904 0.7522 1
F7 F 0.6315 0.4826 0.2523 1
F8 F 0.6934 0.1727 0.5674 1
F9 F 0.7010 0.7965 0.9422 1
F10 F 0.8225 0.6742 0.5606 1
F11 F 0.8856 0.9874 0.2519 1
```

Record 5
# Cr4OF6
Simulated X-ray diffraction stick pattern, a wavelength of 1.5418 Å. Input: a crystal structure in Alexandria, relaxed with PBE+U.

Main lines, sorted by position (2θ = 5–70°):
2θ/deg  d (Å)  I_rel
20.76  4.279  13
29.93  2.986  100
44.15  2.051  22
49.53  1.840  25
50.58  1.805  26
59.89  1.544  23

Structure:
```
data_Cr4OF6
_chemical_formula_sum 'Cr8 O2 F12'
_space_group_name_H-M_alt 'P 1'
_space_group_IT_number 1
_cell_length_a 7.2188
_cell_length_b 7.2188
_cell_length_c 5.3124
_cell_angle_alpha 90.00
_cell_angle_beta 90.00
_cell_angle_gamma 90.00
loop_
_space_group_symop_operation_xyz
'x,y,z'
loop_
_atom_site_label
_atom_site_type_symbol
_atom_site_fract_x
_atom_site_fract_y
_atom_site_fract_z
_atom_site_occupancy
Cr1 Cr 0.0017 0.7500 0.0649 1
Cr2 Cr 0.2500 0.5017 0.4351 1
Cr3 Cr 0.2500 0.9983 0.4351 1
Cr4 Cr 0.4983 0.7500 0.0649 1
Cr5 Cr 0.5017 0.2500 0.9351 1
Cr6 Cr 0.7500 0.0017 0.5649 1
Cr7 Cr 0.7500 0.4983 0.5649 1
Cr8 Cr 0.9983 0.2500 0.9351 1
O1 O 0.2500 0.7500 0.2500 1
O2 O 0.7500 0.2500 0.7500 1
F1 F 0.0335 0.5335 0.7500 1
F2 F 0.0335 0.9665 0.7500 1
F3 F 0.2500 0.2500 0.0995 1
F4 F 0.2500 0.2500 0.5995 1
F5 F 0.4665 0.5335 0.7500 1
F6 F 0.4665 0.9665 0.7500 1
F7 F 0.5335 0.0335 0.2500 1
F8 F 0.5335 0.4665 0.2500 1
F9 F 0.7500 0.7500 0.4005 1
F10 F 0.7500 0.7500 0.9005 1
F11 F 0.9665 0.0335 0.2500 1
F12 F 0.9665 0.4665 0.2500 1
```

Record 6
# Cr3O3F
Simulated X-ray diffraction stick pattern, a wavelength of 1.5418 Å. Input: a crystal structure in Alexandria, relaxed with PBE+U.

Main lines, sorted by position (2θ = 5–70°):
2θ/deg  d (Å)  I_rel
21.37  4.158  44
24.16  3.683  42
35.30  2.543  59
38.74  2.324  100
45.21  2.006  36
61.02  1.519  43

Structure:
```
data_Cr3O3F
_chemical_formula_sum 'Cr12 O12 F4'
_space_group_name_H-M_alt 'P 1'
_space_group_IT_number 1
_cell_length_a 9.2973
_cell_length_b 9.2973
_cell_length_c 4.0117
_cell_angle_alpha 90.00
_cell_angle_beta 90.00
_cell_angle_gamma 90.00
loop_
_space_group_symop_operation_xyz
'x,y,z'
loop_
_atom_site_label
_atom_site_type_symbol
_atom_site_fract_x
_atom_site_fract_y
_atom_site_fract_z
_atom_site_occupancy
Cr1 Cr 0.1229 0.1229 0.0000 1
Cr2 Cr 0.1305 0.6330 0.0000 1
Cr3 Cr 0.1330 0.3695 0.5000 1
Cr4 Cr 0.3670 0.8695 0.0000 1
Cr5 Cr 0.3695 0.1330 0.5000 1
Cr6 Cr 0.3771 0.6229 0.5000 1
Cr7 Cr 0.6229 0.3771 0.5000 1
Cr8 Cr 0.6305 0.8670 0.5000 1
Cr9 Cr 0.6330 0.1305 0.0000 1
Cr10 Cr 0.8670 0.6305 0.5000 1
Cr11 Cr 0.8695 0.3670 0.0000 1
Cr12 Cr 0.8771 0.8771 0.0000 1
O1 O 0.0940 0.3413 0.0000 1
O2 O 0.1485 0.1485 0.5000 1
O3 O 0.1587 0.5940 0.5000 1
O4 O 0.3413 0.0940 0.0000 1
O5 O 0.3515 0.6485 0.0000 1
O6 O 0.4060 0.8413 0.5000 1
O7 O 0.5940 0.1587 0.5000 1
O8 O 0.6485 0.3515 0.0000 1
O9 O 0.6587 0.9060 0.0000 1
O10 O 0.8413 0.4060 0.5000 1
O11 O 0.8515 0.8515 0.5000 1
O12 O 0.9060 0.6587 0.0000 1
F1 F 0.0981 0.9019 0.0000 1
F2 F 0.4019 0.4019 0.5000 1
F3 F 0.5981 0.5981 0.5000 1
F4 F 0.9019 0.0981 0.0000 1
```

Record 7
# Cr4OF11
Simulated X-ray diffraction stick pattern, a wavelength of 1.5418 Å. Input: a crystal structure in Alexandria, relaxed with PBE+U.

Main lines, sorted by position (2θ = 5–70°):
2θ/deg  d (Å)  I_rel
20.54  4.324  36
21.55  4.124  78
24.63  3.614  100
27.67  3.224  45
41.99  2.152  36
42.44  2.130  36

Structure:
```
data_Cr4OF11
_chemical_formula_sum 'Cr4 O1 F11'
_space_group_name_H-M_alt 'P 1'
_space_group_IT_number 1
_cell_length_a 4.9385
_cell_length_b 4.9727
_cell_length_c 9.3852
_cell_angle_alpha 92.45
_cell_angle_beta 98.21
_cell_angle_gamma 118.73
loop_
_space_group_symop_operation_xyz
'x,y,z'
loop_
_atom_site_label
_atom_site_type_symbol
_atom_site_fract_x
_atom_site_fract_y
_atom_site_fract_z
_atom_site_occupancy
Cr1 Cr 0.0000 0.0000 0.0000 1
Cr2 Cr 0.2174 0.5522 0.7717 1
Cr3 Cr 0.4961 0.4832 0.5083 1
Cr4 Cr 0.7682 0.4032 0.2478 1
O1 O 0.9655 0.2691 0.8786 1
F1 F 0.0218 0.6978 0.1267 1
F2 F 0.1389 0.4476 0.3737 1
F3 F 0.2235 0.2401 0.6401 1
F4 F 0.2487 0.9084 0.8823 1
F5 F 0.3818 0.3291 0.1213 1
F6 F 0.4833 0.8017 0.6323 1
F7 F 0.5041 0.1593 0.3834 1
F8 F 0.6145 0.6430 0.8909 1
F9 F 0.7535 0.0630 0.1290 1
F10 F 0.7683 0.7248 0.3762 1
F11 F 0.8576 0.5216 0.6403 1
```

Record 8
# Cr3O2F2
Simulated X-ray diffraction stick pattern, a wavelength of 1.5418 Å. Input: a crystal structure in Alexandria, relaxed with PBE+U.

Main lines, sorted by position (2θ = 5–70°):
2θ/deg  d (Å)  I_rel
16.52  5.366  62
22.52  3.948  85
32.73  2.736  50
32.84  2.727  100
40.75  2.214  73
46.96  1.935  60

Structure:
```
data_Cr3O2F2
_chemical_formula_sum 'Cr6 O4 F4'
_space_group_name_H-M_alt 'P 1'
_space_group_IT_number 1
_cell_length_a 6.0487
_cell_length_b 6.5331
_cell_length_c 5.5856
_cell_angle_alpha 90.00
_cell_angle_beta 117.48
_cell_angle_gamma 90.00
loop_
_space_group_symop_operation_xyz
'x,y,z'
loop_
_atom_site_label
_atom_site_type_symbol
_atom_site_fract_x
_atom_site_fract_y
_atom_site_fract_z
_atom_site_occupancy
Cr1 Cr 0.0000 0.0000 0.0000 1
Cr2 Cr 0.0000 0.5000 0.5000 1
Cr3 Cr 0.4635 0.1223 0.7086 1
Cr4 Cr 0.4635 0.3777 0.2086 1
Cr5 Cr 0.5365 0.6223 0.7914 1
Cr6 Cr 0.5365 0.8777 0.2914 1
O1 O 0.3168 0.1223 0.2965 1
O2 O 0.3168 0.3777 0.7965 1
O3 O 0.6832 0.6223 0.2035 1
O4 O 0.6832 0.8777 0.7035 1
F1 F 0.2475 0.6226 0.3800 1
F2 F 0.2475 0.8774 0.8800 1
F3 F 0.7525 0.1226 0.1200 1
F4 F 0.7525 0.3774 0.6200 1
```

Record 9
# ZnCr6Si2Pb10O32F2
Simulated X-ray diffraction stick pattern, a wavelength of 1.5418 Å. Input: a crystal structure in Alexandria, relaxed with PBE+U.

Main lines, sorted by position (2θ = 5–70°):
2θ/deg  d (Å)  I_rel
17.82  4.979  57
21.90  4.059  49
26.20  3.401  84
27.36  3.260  75
28.52  3.130  100
46.83  1.940  46

Structure:
```
data_ZnCr6Si2Pb10O32F2
_chemical_formula_sum 'Zn1 Cr6 Si2 Pb10 O32 F2'
_space_group_name_H-M_alt 'P 1'
_space_group_IT_number 1
_cell_length_a 9.7956
_cell_length_b 10.0895
_cell_length_c 10.2661
_cell_angle_alpha 64.73
_cell_angle_beta 71.10
_cell_angle_gamma 68.73
loop_
_space_group_symop_operation_xyz
'x,y,z'
loop_
_atom_site_label
_atom_site_type_symbol
_atom_site_fract_x
_atom_site_fract_y
_atom_site_fract_z
_atom_site_occupancy
Zn1 Zn 0.0000 0.0000 0.0000 1
Cr1 Cr 0.2406 0.8403 0.4897 1
Cr2 Cr 0.2621 0.1663 0.0067 1
Cr3 Cr 0.4554 0.3554 0.2142 1
Cr4 Cr 0.5446 0.6446 0.7858 1
Cr5 Cr 0.7379 0.8337 0.9933 1
Cr6 Cr 0.7594 0.1597 0.5103 1
Si1 Si 0.0274 0.6635 0.2890 1
Si2 Si 0.9726 0.3365 0.7110 1
Pb1 Pb 0.1286 0.2567 0.3344 1
Pb2 Pb 0.1603 0.6554 0.9359 1
Pb3 Pb 0.2569 0.4656 0.5777 1
Pb4 Pb 0.3214 0.0343 0.7052 1
Pb5 Pb 0.3551 0.7597 0.1790 1
Pb6 Pb 0.6449 0.2403 0.8210 1
Pb7 Pb 0.6786 0.9657 0.2948 1
Pb8 Pb 0.7431 0.5344 0.4223 1
Pb9 Pb 0.8397 0.3446 0.0641 1
Pb10 Pb 0.8714 0.7433 0.6656 1
O1 O 0.0045 0.4907 0.7041 1
O2 O 0.0726 0.7715 0.1146 1
O3 O 0.1120 0.2844 0.0773 1
O4 O 0.1341 0.2588 0.6207 1
O5 O 0.1351 0.9451 0.3680 1
O6 O 0.1480 0.7232 0.6397 1
O7 O 0.1717 0.6246 0.3596 1
O8 O 0.2112 0.0355 0.9824 1
O9 O 0.2909 0.9569 0.5302 1
O10 O 0.3081 0.4218 0.1350 1
O11 O 0.3494 0.2632 0.8444 1
O12 O 0.3772 0.0758 0.1211 1
O13 O 0.3912 0.7274 0.4164 1
O14 O 0.3930 0.7370 0.8817 1
O15 O 0.4094 0.2341 0.3800 1
O16 O 0.4997 0.4949 0.2243 1
O17 O 0.5003 0.5051 0.7757 1
O18 O 0.5906 0.7659 0.6200 1
O19 O 0.6070 0.2630 0.1183 1
O20 O 0.6088 0.2726 0.5836 1
O21 O 0.6228 0.9242 0.8789 1
O22 O 0.6506 0.7368 0.1556 1
O23 O 0.6919 0.5782 0.8650 1
O24 O 0.7091 0.0431 0.4698 1
O25 O 0.7888 0.9645 0.0176 1
O26 O 0.8283 0.3754 0.6404 1
O27 O 0.8520 0.2768 0.3603 1
O28 O 0.8649 0.0549 0.6320 1
O29 O 0.8659 0.7412 0.3793 1
O30 O 0.8880 0.7156 0.9227 1
O31 O 0.9274 0.2285 0.8854 1
O32 O 0.9955 0.5093 0.2959 1
F1 F 0.1122 0.9308 0.8193 1
F2 F 0.8878 0.0692 0.1807 1
```

Record 10
# CrPb2F6
Simulated X-ray diffraction stick pattern, a wavelength of 1.5418 Å. Input: a crystal structure in Alexandria, relaxed with PBE+U.

Main lines, sorted by position (2θ = 5–70°):
2θ/deg  d (Å)  I_rel
18.10  4.902  31
23.08  3.854  100
28.97  3.082  87
32.86  2.725  26
44.37  2.042  75
56.30  1.634  23

Structure:
```
data_CrPb2F6
_chemical_formula_sum 'Cr2 Pb4 F12'
_space_group_name_H-M_alt 'P 1'
_space_group_IT_number 1
_cell_length_a 5.4506
_cell_length_b 5.4506
_cell_length_c 11.2108
_cell_angle_alpha 90.00
_cell_angle_beta 90.00
_cell_angle_gamma 90.00
loop_
_space_group_symop_operation_xyz
'x,y,z'
loop_
_atom_site_label
_atom_site_type_symbol
_atom_site_fract_x
_atom_site_fract_y
_atom_site_fract_z
_atom_site_occupancy
Cr1 Cr 0.0000 0.0000 0.0000 1
Cr2 Cr 0.5000 0.5000 0.5000 1
Pb1 Pb 0.0000 0.0000 0.3362 1
Pb2 Pb 0.0000 0.0000 0.6638 1
Pb3 Pb 0.5000 0.5000 0.1638 1
Pb4 Pb 0.5000 0.5000 0.8362 1
F1 F 0.1815 0.1815 0.1366 1
F2 F 0.1815 0.1815 0.8634 1
F3 F 0.1953 0.1953 0.5000 1
F4 F 0.3047 0.6953 0.0000 1
F5 F 0.3185 0.6815 0.3634 1
F6 F 0.3185 0.6815 0.6366 1
F7 F 0.6815 0.3185 0.3634 1
F8 F 0.6815 0.3185 0.6366 1
F9 F 0.6953 0.3047 0.0000 1
F10 F 0.8047 0.8047 0.5000 1
F11 F 0.8185 0.8185 0.1366 1
F12 F 0.8185 0.8185 0.8634 1
```